This entry pairs a crystal structure of Nd2CdIn2Pt5 with its theoretical X-ray powder pattern. Radiation: Cu Kα X-rays. Structure: a structure optimized by DFT (PBE).
Kinematic intensities with the Lorentz-polarization factor, no thermal factor.

The 10 most intense peaks (10° ≤ 2θ ≤ 90°), by angle:
d (Å)	I_rel
2.643	33
2.574	27
2.502	42
2.493	100
2.309	20
2.161	38
1.861	22
1.581	16
1.493	17
1.305	17

```
Nd2CdIn2Pt5
1.0
10.6149 0.0000 0.0000
0.0000 10.6149 0.0000
0.0000 0.0000 3.7225
Nd Cd In Pt
4 2 4 10
Direct
0.1693 0.3307 0.0000 Nd
0.3307 0.8307 0.0000 Nd
0.6693 0.1693 0.0000 Nd
0.8307 0.6693 0.0000 Nd
0.0000 0.0000 0.0000 Cd
0.5000 0.5000 0.0000 Cd
0.1310 0.6310 0.0000 In
0.3690 0.1310 0.0000 In
0.6310 0.8690 0.0000 In
0.8690 0.3690 0.0000 In
0.0000 0.5000 0.5000 Pt
0.0333 0.7981 0.5000 Pt
0.2019 0.0333 0.5000 Pt
0.2981 0.5333 0.5000 Pt
0.4667 0.2981 0.5000 Pt
0.5000 0.0000 0.5000 Pt
0.5333 0.7019 0.5000 Pt
0.7019 0.4667 0.5000 Pt
0.7981 0.9667 0.5000 Pt
0.9667 0.2019 0.5000 Pt
```